(1)
The following is a computed powder diffractogram of Y2Co3Si5. It was derived from DFT lattice parameters and positions (GGA-PBE), using λ = 1.5418 Å (Cu Kα).
Peak positions follow from Bragg's law for the DFT cell and can differ from measured ones.

Atomic structure:
Cell: 7.855 7.855 5.518 Å, 109.18 109.18 93.42°
Fractional positions:
Y  0.097  0.370  0.237
Y  0.370  0.097  0.737
Y  0.630  0.903  0.263
Y  0.903  0.630  0.763
Co  0.040  0.763  0.374
Co  0.237  0.960  0.126
Co  0.497  0.503  0.250
Co  0.503  0.497  0.750
Co  0.763  0.040  0.874
Co  0.960  0.237  0.626
Si  0.011  0.989  0.750
Si  0.238  0.436  0.835
Si  0.271  0.729  0.750
Si  0.286  0.714  0.250
Si  0.436  0.238  0.335
Si  0.564  0.762  0.665
Si  0.714  0.286  0.750
Si  0.729  0.271  0.250
Si  0.762  0.564  0.165
Si  0.989  0.011  0.250

Main lines, in order of falling intensity (5 to 70 degrees two-theta):
2θ = 45.72°, d = 1.985 Å, rel. 100
2θ = 36.89°, d = 2.436 Å, rel. 84
2θ = 36.74°, d = 2.446 Å, rel. 76
2θ = 35.90°, d = 2.502 Å, rel. 72
2θ = 37.13°, d = 2.422 Å, rel. 55
2θ = 31.29°, d = 2.859 Å, rel. 29

=====

(2)
The following is a computed powder diffractogram of Ba14Na11Li5N6. It was derived from DFT lattice parameters and positions (GGA-PBE), using λ = 1.5418 Å (Cu Kα).
Peak positions follow from Bragg's law for the DFT cell and can differ from measured ones.

Atomic structure:
Cell: 12.657 12.657 12.657 Å, 60.00 60.00 60.00°
Fractional positions:
Ba  0.190  0.603  0.603
Ba  0.215  0.215  0.785
Ba  0.215  0.785  0.215
Ba  0.215  0.785  0.785
Ba  0.398  0.398  0.398
Ba  0.398  0.398  0.807
Ba  0.398  0.807  0.398
Ba  0.603  0.190  0.603
Ba  0.603  0.603  0.190
Ba  0.603  0.603  0.603
Ba  0.785  0.215  0.215
Ba  0.785  0.215  0.785
Ba  0.785  0.785  0.215
Ba  0.807  0.398  0.398
Na  0.000  0.000  0.000
Na  0.170  0.170  0.170
Na  0.170  0.170  0.489
Na  0.170  0.489  0.170
Na  0.489  0.170  0.170
Na  0.510  0.510  0.990
Na  0.510  0.990  0.510
Na  0.510  0.990  0.990
Na  0.990  0.510  0.510
Na  0.990  0.510  0.990
Na  0.990  0.990  0.510
Li  0.429  0.857  0.857
Li  0.500  0.500  0.500
Li  0.857  0.429  0.857
Li  0.857  0.857  0.429
Li  0.857  0.857  0.857
N  0.355  0.355  0.645
N  0.355  0.645  0.355
N  0.355  0.645  0.645
N  0.645  0.355  0.355
N  0.645  0.355  0.645
N  0.645  0.645  0.355

Main lines, in order of falling intensity (5 to 70 degrees two-theta):
2θ = 25.86°, d = 3.445 Å, rel. 100
2θ = 28.20°, d = 3.164 Å, rel. 86
2θ = 9.88°, d = 8.950 Å, rel. 62
2θ = 8.56°, d = 10.335 Å, rel. 55
2θ = 52.91°, d = 1.730 Å, rel. 46
2θ = 36.19°, d = 2.482 Å, rel. 36

=====

(3)
The following is a computed powder diffractogram of Mg5Au. It was derived from DFT lattice parameters and positions (GGA-PBE), using λ = 1.5418 Å (Cu Kα).
Peak positions follow from Bragg's law for the DFT cell and can differ from measured ones.

Atomic structure:
Cell: 5.839 5.839 5.839 Å, 54.73 54.73 54.73°
Fractional positions:
Mg  0.000  0.655  0.345
Mg  0.165  0.165  0.165
Mg  0.345  0.000  0.655
Mg  0.655  0.345  0.000
Mg  0.835  0.835  0.835
Au  0.500  0.500  0.500

Main lines, in order of falling intensity (5 to 70 degrees two-theta):
2θ = 38.15°, d = 2.359 Å, rel. 100
2θ = 20.02°, d = 4.436 Å, rel. 86
2θ = 22.57°, d = 3.940 Å, rel. 61
2θ = 33.39°, d = 2.684 Å, rel. 40
2θ = 17.92°, d = 4.949 Å, rel. 35
2θ = 30.83°, d = 2.900 Å, rel. 28

=====

(4)
The following is a computed powder diffractogram of LiAg3. It was derived from DFT lattice parameters and positions (GGA-PBE), using λ = 1.5418 Å (Cu Kα).
Peak positions follow from Bragg's law for the DFT cell and can differ from measured ones.

Atomic structure:
Cell: 5.788 5.788 4.766 Å, 90.00 90.00 120.00°
Fractional positions:
Li  0.333  0.667  0.250
Li  0.667  0.333  0.750
Ag  0.168  0.337  0.750
Ag  0.168  0.832  0.750
Ag  0.337  0.168  0.250
Ag  0.663  0.832  0.750
Ag  0.832  0.168  0.250
Ag  0.832  0.663  0.250

Main lines, in order of falling intensity (5 to 70 degrees two-theta):
2θ = 40.67°, d = 2.218 Å, rel. 100
2θ = 25.79°, d = 3.454 Å, rel. 35
2θ = 37.75°, d = 2.383 Å, rel. 28
2θ = 35.83°, d = 2.506 Å, rel. 24
2θ = 64.38°, d = 1.447 Å, rel. 16
2θ = 53.02°, d = 1.727 Å, rel. 15

=====

(5)
The following is a computed powder diffractogram of UAl3Pd2. It was derived from DFT lattice parameters and positions (GGA-PBE), using λ = 1.5418 Å (Cu Kα).
Peak positions follow from Bragg's law for the DFT cell and can differ from measured ones.

Atomic structure:
Cell: 5.384 5.384 4.240 Å, 90.00 90.00 120.00°
Fractional positions:
U  0.000  0.000  0.000
Al  0.000  0.500  0.500
Al  0.500  0.000  0.500
Al  0.500  0.500  0.500
Pd  0.333  0.667  0.000
Pd  0.667  0.333  0.000

Main lines, in order of falling intensity (5 to 70 degrees two-theta):
2θ = 39.66°, d = 2.273 Å, rel. 100
2θ = 33.28°, d = 2.692 Å, rel. 63
2θ = 20.95°, d = 4.240 Å, rel. 50
2θ = 55.15°, d = 1.665 Å, rel. 30
2θ = 63.78°, d = 1.459 Å, rel. 25
2θ = 28.45°, d = 3.137 Å, rel. 23

=====

(6)
The following is a computed powder diffractogram of LaNdI4. It was derived from DFT lattice parameters and positions (GGA-PBE), using λ = 1.5418 Å (Cu Kα).
Peak positions follow from Bragg's law for the DFT cell and can differ from measured ones.

Atomic structure:
Cell: 8.963 8.963 7.862 Å, 111.71 111.71 109.86°
Fractional positions:
La  0.011  0.989  0.750
La  0.989  0.011  0.250
Nd  0.370  0.630  0.750
Nd  0.630  0.370  0.250
I  0.058  0.687  0.405
I  0.253  0.372  0.244
I  0.313  0.942  0.095
I  0.372  0.253  0.744
I  0.628  0.747  0.256
I  0.687  0.058  0.905
I  0.747  0.628  0.756
I  0.942  0.313  0.595

Main lines, in order of falling intensity (5 to 70 degrees two-theta):
2θ = 28.50°, d = 3.132 Å, rel. 100
2θ = 27.59°, d = 3.233 Å, rel. 98
2θ = 32.59°, d = 2.748 Å, rel. 89
2θ = 30.19°, d = 2.960 Å, rel. 73
2θ = 32.82°, d = 2.729 Å, rel. 63
2θ = 38.91°, d = 2.314 Å, rel. 58

=====

(7)
The following is a computed powder diffractogram of Ba3Sm. It was derived from DFT lattice parameters and positions (GGA-PBE), using λ = 1.5418 Å (Cu Kα).
Peak positions follow from Bragg's law for the DFT cell and can differ from measured ones.

Atomic structure:
Cell: 7.280 7.280 7.280 Å, 131.49 131.49 71.04°
Fractional positions:
Ba  0.000  0.000  0.000
Ba  0.250  0.750  0.500
Ba  0.750  0.250  0.500
Sm  0.500  0.500  0.000

Main lines, in order of falling intensity (5 to 70 degrees two-theta):
2θ = 25.88°, d = 3.442 Å, rel. 100
2θ = 29.88°, d = 2.991 Å, rel. 35
2θ = 50.66°, d = 1.802 Å, rel. 31
2θ = 42.97°, d = 2.105 Å, rel. 25
2θ = 30.16°, d = 2.963 Å, rel. 17
2θ = 51.03°, d = 1.790 Å, rel. 15